[1]
The following is a calculated powder diffractogram of Li10SnP2S12. It was derived from a cell relaxed with GGA-PBE, using Cu Kα (λ = 1.5418 Å).
Intensities are scaled so that the largest is 100.

Top 10 peaks for 5° ≤ 2θ ≤ 70°, in order of rising 2θ:
- 2θ = 12.06°, I = 62.9
- 2θ = 14.20°, I = 69.6
- 2θ = 16.73°, I = 32.6
- 2θ = 19.51°, I = 38.7
- 2θ = 19.60°, I = 41.3
- 2θ = 20.13°, I = 52.8
- 2θ = 23.52°, I = 35.9
- 2θ = 26.25°, I = 32.5
- 2θ = 28.66°, I = 100.0
- 2θ = 40.92°, I = 50.5

Cell and atoms:
Cell: 8.811 8.831 13.238 Å, 89.61 89.95 89.93°
Fractional positions:
Li: 0.000 0.000 0.000
Li: 0.004 0.510 0.325
Li: 0.009 0.496 0.809
Li: 0.188 0.863 0.518
Li: 0.224 0.292 0.068
Li: 0.231 0.775 0.270
Li: 0.236 0.764 0.767
Li: 0.252 0.265 0.751
Li: 0.254 0.283 0.439
Li: 0.308 0.738 0.016
Li: 0.459 0.054 0.214
Li: 0.502 0.990 0.710
Li: 0.678 0.273 0.683
Li: 0.703 0.752 0.395
Li: 0.715 0.272 0.425
Li: 0.720 0.316 0.149
Li: 0.720 0.771 0.109
Li: 0.740 0.697 0.845
Li: 0.751 0.266 0.923
Li: 0.765 0.777 0.604
Sn: 0.491 0.030 0.949
Sn: 0.990 0.512 0.577
P: 0.467 0.519 0.256
P: 0.492 0.017 0.450
P: 0.983 0.532 0.076
P: 0.988 0.016 0.763
S: 0.008 0.203 0.855
S: 0.155 0.520 0.971
S: 0.184 0.012 0.676
S: 0.213 0.520 0.681
S: 0.276 0.019 0.062
S: 0.286 0.018 0.373
S: 0.295 0.538 0.360
S: 0.447 0.334 0.166
S: 0.461 0.720 0.173
S: 0.481 0.794 0.856
S: 0.492 0.211 0.536
S: 0.500 0.825 0.539
S: 0.503 0.240 0.831
S: 0.666 0.021 0.348
S: 0.675 0.502 0.325
S: 0.715 0.051 0.055
S: 0.773 0.526 0.005
S: 0.776 0.527 0.695
S: 0.801 0.025 0.673
S: 0.959 0.734 0.469
S: 0.981 0.304 0.464
S: 0.990 0.729 0.159
S: 0.992 0.827 0.855
S: 0.998 0.345 0.169

[2]
The following is a calculated powder diffractogram of Cs2Cu2H5. It was derived from a cell relaxed with GGA-PBE, using Cu Kα (λ = 1.5418 Å).
Intensities are scaled so that the largest is 100.

Top 10 peaks for 5° ≤ 2θ ≤ 70°, in order of rising 2θ:
- 2θ = 23.09°, I = 47.8
- 2θ = 25.06°, I = 22.2
- 2θ = 26.87°, I = 70.5
- 2θ = 28.59°, I = 100.0
- 2θ = 33.73°, I = 21.1
- 2θ = 35.35°, I = 19.0
- 2θ = 35.85°, I = 67.6
- 2θ = 43.14°, I = 17.7
- 2θ = 46.37°, I = 20.0
- 2θ = 58.20°, I = 21.8

Cell and atoms:
Cell: 5.515 5.515 7.557 Å, 100.59 100.59 40.24°
Fractional positions:
Cs: 0.099 0.099 0.315
Cs: 0.901 0.901 0.685
Cu: 0.335 0.335 0.078
Cu: 0.665 0.665 0.922
H: 0.204 0.204 0.916
H: 0.385 0.385 0.297
H: 0.500 0.500 0.000
H: 0.615 0.615 0.703
H: 0.796 0.796 0.084